No. 1
For Ba2Hg7Pd, DFT lattice parameters and positions (GGA-PBE) gives the theoretical powder diffraction line list in this record (Cu Kα).
Lines closer than 0.1° are merged.

Peak list (12 most intense, 10 to 90 degrees two-theta, by angle)
19.81 deg, rel. 28
28.21 deg, rel. 51
29.92 deg, rel. 100
37.52 deg, rel. 76
38.98 deg, rel. 66
40.36 deg, rel. 33
47.60 deg, rel. 25
54.11 deg, rel. 27
56.27 deg, rel. 27
63.07 deg, rel. 24
68.68 deg, rel. 26
71.56 deg, rel. 17

Crystal structure
Lattice parameters (Å, degrees): 4.7938 4.7938 12.6312 90.00 90.00 90.00
Atoms (fractional coordinates):
Ba  0.0000  0.5000  0.2326
Ba  0.5000  0.0000  0.7674
Hg  0.0000  0.0000  0.0000
Hg  0.0000  0.0000  0.5000
Hg  0.0000  0.5000  0.6444
Hg  0.0000  0.5000  0.8746
Hg  0.5000  0.0000  0.1254
Hg  0.5000  0.0000  0.3556
Hg  0.5000  0.5000  0.5000
Pd  0.5000  0.5000  0.0000



No. 2
For Na4TiIn3O8, DFT lattice parameters and positions (GGA-PBE) gives the theoretical powder diffraction line list in this record (Cu Kα).
Lines closer than 0.1° are merged.

Peak list (12 most intense, 10 to 90 degrees two-theta, by angle)
16.06 deg, rel. 91
32.18 deg, rel. 36
32.44 deg, rel. 20
33.55 deg, rel. 52
38.61 deg, rel. 100
42.07 deg, rel. 13
50.33 deg, rel. 16
55.02 deg, rel. 30
56.48 deg, rel. 30
59.12 deg, rel. 16
66.66 deg, rel. 16
70.51 deg, rel. 14

Crystal structure
Lattice parameters (Å, degrees): 6.6802 6.6802 6.6802 58.39 58.39 58.39
Atoms (fractional coordinates):
Na  0.0000  0.0000  0.0000
Na  0.0000  0.5000  0.5000
Na  0.5000  0.0000  0.5000
Na  0.5000  0.5000  0.0000
Ti  0.5000  0.5000  0.5000
In  0.0000  0.0000  0.5000
In  0.0000  0.5000  0.0000
In  0.5000  0.0000  0.0000
O  0.2378  0.2378  0.2378
O  0.2591  0.7238  0.7238
O  0.2762  0.2762  0.7409
O  0.2762  0.7409  0.2762
O  0.7238  0.2591  0.7238
O  0.7238  0.7238  0.2591
O  0.7409  0.2762  0.2762
O  0.7622  0.7622  0.7622